Entry 1:
# Rb4MgV2Cu2S8
Theoretical X-ray diffraction stick pattern, Cu Kα. Input: the PBE geometry in the Materials Project.

Peak list (10 most intense, 2θ from 10° to 90°, by angle)
two_theta	I_rel	index
14.63	98	0 0 2
24.93	93	0 1 -3
25.77	66	0 2 0
26.16	100	0 1 3
26.74	94	1 -1 2
28.17	74	1 2 2
30.63	72	1 2 -2
34.80	51	2 2 1
38.80	61	2 1 -2
39.37	50	2 1 4

Lattice parameters (Å, degrees): 5.615 7.411 12.414 88.49 77.68 69.13
Space group P1 (No. 1)
Asymmetric unit:
Rb: 0.000 0.000 0.000 [1 per cell]
Rb: 0.068 0.593 0.734 [1 per cell]
Rb: 0.358 0.030 0.258 [1 per cell]
Rb: 0.755 0.541 0.449 [1 per cell]
Mg: 0.500 0.135 0.824 [1 per cell]
V: 0.185 0.059 0.604 [1 per cell]
V: 0.922 0.523 0.100 [1 per cell]
Cu: 0.428 0.529 0.097 [1 per cell]
Cu: 0.691 0.059 0.593 [1 per cell]
S: 0.025 0.706 0.205 [1 per cell]
S: 0.097 0.859 0.503 [1 per cell]
S: 0.307 0.320 0.995 [1 per cell]
S: 0.376 0.240 0.503 [1 per cell]
S: 0.448 0.890 0.720 [1 per cell]
S: 0.655 0.712 0.999 [1 per cell]
S: 0.723 0.349 0.200 [1 per cell]
S: 0.801 0.259 0.712 [1 per cell]

---

Entry 2:
# FeNiPt6
Theoretical X-ray diffraction stick pattern, Cu Kα. Input: the PBE geometry in the Materials Project.

Peak list (10 most intense, 2θ from 10° to 90°, by angle)
two_theta	I_rel	index
22.67	9	1 0 0
32.40	7	1 0 2
39.91	100	1 1 2
46.28	33	2 0 0
46.67	16	0 0 4
67.53	11	2 2 0
67.83	21	2 0 4
81.41	26	3 1 2
81.98	13	1 1 6
86.08	11	2 2 4

Lattice parameters (Å, degrees): 3.923 3.923 7.785 90.00 90.00 90.00
Space group P4/mmm (No. 123)
Asymmetric unit:
Fe: 0.000 0.000 0.000 [1 per cell]
Ni: 0.000 0.000 0.500 [1 per cell]
Pt: 0.000 0.500 0.249 [4 per cell]
Pt: 0.500 0.500 0.000 [1 per cell]
Pt: 0.500 0.500 0.500 [1 per cell]

---

Entry 3:
# CoHgC4S4N4
Theoretical X-ray diffraction stick pattern, Cu Kα. Input: the PBE geometry in the Materials Project.

Peak list (10 most intense, 2θ from 10° to 90°, by angle)
two_theta	I_rel	index
11.17	63	1 1 0
15.83	95	2 0 0
20.32	75	1 0 1
22.45	35	2 2 0
25.86	100	1 2 1
30.47	51	3 0 1
34.51	48	3 2 1
35.86	34	2 4 0
44.74	32	4 3 1
46.04	47	3 1 2

Lattice parameters (Å, degrees): 11.199 11.199 4.746 90.00 90.00 90.00
Space group I-4 (No. 82)
Asymmetric unit:
Co: 0.000 0.000 0.000 [2 per cell]
Hg: 0.000 0.500 0.250 [2 per cell]
C: 0.075 0.780 0.351 [8 per cell]
S: 0.118 0.663 0.533 [8 per cell]
N: 0.047 0.866 0.224 [8 per cell]

---

Entry 4:
# Y2Co3N4
Theoretical X-ray diffraction stick pattern, Cu Kα. Input: the PBE geometry in the Materials Project.

Peak list (10 most intense, 2θ from 10° to 90°, by angle)
two_theta	I_rel	index
26.35	48	0 2 1
32.72	100	2 2 -1
33.51	97	1 1 2
39.16	23	1 3 1
39.83	61	3 1 1
42.80	52	1 1 -3
45.79	29	0 4 0
46.96	28	1 3 2
48.08	31	4 0 -2
65.63	22	4 4 0

Lattice parameters (Å, degrees): 8.314 7.926 6.598 90.00 100.57 90.00
Space group C2/c (No. 15)
Asymmetric unit:
Y: 0.164 0.121 0.161 [8 per cell]
Co: 0.000 0.245 0.750 [4 per cell]
Co: 0.109 0.381 0.464 [8 per cell]
N: 0.102 0.380 0.979 [8 per cell]
N: 0.129 0.150 0.537 [8 per cell]

---

Entry 5:
# Lu2TeO6
Theoretical X-ray diffraction stick pattern, Cu Kα. Input: the PBE geometry in the Materials Project.

Peak list (10 most intense, 2θ from 10° to 90°, by angle)
two_theta	I_rel	index
28.78	100	2 2 1
29.66	89	4 2 -1
32.70	21	0 4 0
33.81	21	2 0 -2
35.07	20	6 0 0
47.75	24	2 4 -2
48.38	18	4 0 2
48.70	24	6 4 0
56.93	15	0 2 3
58.62	13	8 2 1

Lattice parameters (Å, degrees): 16.040 10.955 5.307 90.00 106.86 90.00
Space group C2/c (No. 15)
Asymmetric unit:
Lu: 0.000 0.103 0.250 [4 per cell]
Lu: 0.000 0.375 0.750 [4 per cell]
Lu: 0.172 0.111 0.885 [8 per cell]
Te: 0.153 0.348 0.433 [8 per cell]
O: 0.076 0.466 0.489 [8 per cell]
O: 0.079 0.234 0.573 [8 per cell]
O: 0.091 0.015 0.077 [8 per cell]
O: 0.099 0.278 0.099 [8 per cell]
O: 0.237 0.292 0.745 [8 per cell]
O: 0.237 0.452 0.350 [8 per cell]

---

Entry 6:
# Mg3C
Theoretical X-ray diffraction stick pattern, Cu Kα. Input: the PBE geometry in the Materials Project.

Peak list (10 most intense, 2θ from 10° to 90°, by angle)
two_theta	I_rel	index
17.85	34	0 0 1
29.13	29	1 0 1
36.15	21	0 0 2
37.33	100	1 1 1
43.19	14	1 0 2
46.64	34	2 0 0
60.39	19	2 0 2
65.79	19	1 1 3
68.09	10	2 2 0
80.30	19	3 1 1

Lattice parameters (Å, degrees): 3.895 3.895 4.970 90.00 90.00 90.00
Space group P4mm (No. 99)
Asymmetric unit:
Mg: 0.000 0.000 0.000 [1 per cell]
Mg: 0.000 0.500 0.526 [2 per cell]
C: 0.500 0.500 0.737 [1 per cell]